Entry 1:
The following is a simulated PXRD pattern of CaH3SBr3. It was derived from a PBE-relaxed structure, using copper Kα.
Peak positions follow from Bragg's law for the DFT cell and can differ from measured ones.

Principal peaks in the range 10° ≤ 2θ ≤ 90°, in order of rising 2θ:
2θ (°), d [Å], Rel. int., hkl
11.38, 7.775, 27, 2 0 0
26.48, 3.366, 100, 3 1 0
26.71, 3.338, 57, 2 0 -3
27.73, 3.217, 58, 3 1 -1
28.04, 3.182, 18, 4 0 2
32.30, 2.771, 16, 0 0 4
38.97, 2.311, 37, 5 1 -2
40.87, 2.208, 23, 0 2 0
49.23, 1.851, 25, 3 1 -5
49.50, 1.842, 20, 2 2 -3

Cell and atoms:
Lattice parameters (Å, degrees): 15.5498 4.4161 11.0853 90.00 90.15 90.00
Space group Cm (No. 8)
Symmetry-distinct sites (fractional):
Ca: 0.0000 0.0000 0.0000
Ca: 0.0037 0.0000 0.4885
H: 0.1818 0.5000 0.1152
H: 0.2861 0.2811 0.1788
H: 0.2922 0.0000 0.5901
H: 0.3196 0.2191 0.7401
S: 0.2314 0.5000 0.2236
S: 0.2585 0.0000 0.7088
Br: 0.0636 0.0000 0.2414
Br: 0.1170 0.5000 0.5481
Br: 0.1185 0.5000 0.9458
Br: 0.3751 0.0000 0.0420
Br: 0.3780 0.0000 0.4367
Br: 0.4390 0.5000 0.7470

=====

Entry 2:
The following is a simulated PXRD pattern of Ca2HgPbBr8. It was derived from a PBE-relaxed structure, using copper Kα.
Peak positions follow from Bragg's law for the DFT cell and can differ from measured ones.

Principal peaks in the range 10° ≤ 2θ ≤ 90°, in order of rising 2θ:
2θ (°), d [Å], Rel. int., hkl
12.56, 7.045, 36, 0 0 1
13.25, 6.684, 30, 1 0 0
18.30, 4.849, 96, 1 0 -1
24.20, 3.677, 32, 1 2 0
27.39, 3.256, 100, 1 2 1
28.58, 3.123, 50, 1 0 -2
36.01, 2.494, 47, 2 2 -1
36.12, 2.487, 43, 2 2 1
40.99, 2.202, 28, 0 4 0
43.68, 2.072, 47, 0 2 3

Cell and atoms:
Lattice parameters (Å, degrees): 6.6840 8.8079 7.0453 90.00 90.31 90.00
Space group P2/m (No. 10)
Symmetry-distinct sites (fractional):
Ca: 0.0000 0.2422 0.0000
Hg: 0.5000 0.0000 0.5000
Pb: 0.5000 0.5000 0.5000
Br: 0.2252 0.5000 0.8471
Br: 0.2377 0.0000 0.8401
Br: 0.2628 0.2344 0.3405